No. 1
# TePdWN2
Simulated X-ray powder pattern, Cu Ka. Input: a cell relaxed with GGA-PBE.
Peak positions follow from Bragg's law for the DFT cell and can differ from measured ones.

Principal peaks in the range 10° ≤ 2θ ≤ 80°, low angle first:
2θ 22.86, I 63, hkl 1 0 0; 2θ 27.52, I 57, hkl 1 0 1; 2θ 30.50, I 78, hkl 0 0 2; 2θ 32.55, I 100, hkl 1 1 0; 2θ 38.46, I 33, hkl 1 0 2; 2θ 45.21, I 82, hkl 1 1 2; 2θ 46.70, I 47, hkl 2 0 0; 2θ 56.81, I 52, hkl 2 0 2; 2θ 73.18, I 20, hkl 1 1 4; 2θ 76.51, I 21, hkl 2 2 2

Crystal structure
Unit cell a=3.890 b=3.890 c=5.861 alpha=90.00 beta=90.00 gamma=90.00
Space group P4/mmm (No. 123)
One atom of each set of equivalent atoms:
Te: 0.000 0.000 0.000
Pd: 0.500 0.500 0.000
W: 0.000 0.000 0.500
N: 0.000 0.500 0.500

---

No. 2
# ThPdN
Simulated X-ray powder pattern, Cu Ka. Input: a cell relaxed with GGA-PBE.
Peak positions follow from Bragg's law for the DFT cell and can differ from measured ones.

Principal peaks in the range 10° ≤ 2θ ≤ 80°, low angle first:
2θ 16.70, I 32, hkl 1 0 1; 2θ 19.40, I 30, hkl 0 1 2; 2θ 27.36, I 100, hkl 1 1 0; 2θ 27.76, I 88, hkl 1 0 4; 2θ 32.23, I 29, hkl 0 2 1; 2θ 33.76, I 40, hkl 2 0 2; 2θ 39.38, I 87, hkl 0 2 4; 2θ 42.77, I 27, hkl 3 -1 1; 2θ 48.62, I 34, hkl 2 1 4; 2θ 56.47, I 28, hkl 2 2 0

Crystal structure
Unit cell a=6.5183 b=6.5183 c=15.6318 alpha=90.00 beta=90.00 gamma=120.00
Space group R3 (No. 146, hexagonal axes)
One atom of each set of equivalent atoms:
Th: 0.0000 0.0000 0.0000
Th: 0.0000 0.0000 0.2092
Th: 0.0000 0.0000 0.7261
Pd: 0.0561 0.5677 0.2087
N: 0.1308 0.7492 0.7721

---

No. 3
# Ti3Pd2N
Simulated X-ray powder pattern, Cu Ka. Input: a cell relaxed with GGA-PBE.
Peak positions follow from Bragg's law for the DFT cell and can differ from measured ones.

Principal peaks in the range 10° ≤ 2θ ≤ 80°, low angle first:
2θ 15.94, I 54, hkl 1 1 0; 2θ 26.58, I 36, hkl 2 0 0; 2θ 35.67, I 32, hkl 1 1 -2; 2θ 37.12, I 100, hkl 1 3 1; 2θ 38.21, I 57, hkl 2 0 -2; 2θ 40.59, I 41, hkl 0 4 1; 2θ 41.37, I 36, hkl 3 1 0; 2θ 46.03, I 47, hkl 2 4 -1; 2θ 48.15, I 25, hkl 3 3 -1; 2θ 60.06, I 24, hkl 1 3 -3

Crystal structure
Unit cell a=7.004 b=9.922 c=5.226 alpha=90.00 beta=106.60 gamma=90.00
Space group C2/c (No. 15)
One atom of each set of equivalent atoms:
Ti: 0.164 0.073 0.492
Ti: 0.250 0.250 0.000
Pd: 0.000 0.306 0.250
Pd: 0.000 0.429 0.750
N: 0.000 0.083 0.750

---

No. 4
# Ti6PdN
Simulated X-ray powder pattern, Cu Ka. Input: a cell relaxed with GGA-PBE.
Peak positions follow from Bragg's law for the DFT cell and can differ from measured ones.

Principal peaks in the range 10° ≤ 2θ ≤ 80°, low angle first:
2θ 21.31, I 16, hkl 1 0 -1; 2θ 38.06, I 55, hkl 2 0 -1; 2θ 38.17, I 50, hkl 0 1 -2; 2θ 38.86, I 100, hkl 1 1 1; 2θ 39.96, I 53, hkl 1 2 -1; 2θ 40.13, I 55, hkl -1 1 2; 2θ 53.13, I 18, hkl 2 -1 1; 2θ 56.83, I 16, hkl 2 1 -3; 2θ 59.01, I 15, hkl 0 3 1; 2θ 68.54, I 12, hkl -3 2 1

Crystal structure
Unit cell a=4.738 b=5.264 c=5.378 alpha=97.20 beta=112.66 gamma=91.48
Space group P-1 (No. 2)
One atom of each set of equivalent atoms:
Ti: 0.058 0.300 0.160
Ti: 0.210 0.828 0.451
Ti: 0.408 0.391 0.743
Pd: 0.500 0.000 0.000
N: 0.000 0.500 0.500